Entry 1:
Theoretical X-ray diffraction stick pattern of Sm3Ho4Al for Cu Kα, 1.54184 Å, from a structure optimized by DFT (GGA-PBE).
Lines closer than 0.1° are merged.

Most intense lines, 2θ from 10° to 90°, in order of falling intensity:
Position (°2θ)  I/Imax  h k l
31.37  100  1 0 4
35.75  43  1 1 0
61.51  29  2 1 4
28.77  18  1 0 3
59.14  16  1 0 11
49.27  16  1 1 7
51.45  15  2 0 0
82.18  13  2 1 11

Crystal structure
Unit cell a=3.5523 b=3.5523 c=19.1323 alpha=90.00 beta=90.00 gamma=90.00
Space group P4/mmm (No. 123)
Symmetry-distinct sites (fractional):
Sm 0.0000 0.0000 0.0000 x1
Sm 0.0000 0.0000 0.2670 x2
Ho 0.5000 0.5000 0.1336 x2
Ho 0.5000 0.5000 0.4020 x2
Al 0.0000 0.0000 0.5000 x1


Entry 2:
Theoretical X-ray diffraction stick pattern of LiPa2FeN5 for Cu Kα, 1.54184 Å, from a structure optimized by DFT (GGA-PBE).
Lines closer than 0.1° are merged.

Most intense lines, 2θ from 10° to 90°, in order of falling intensity:
Position (°2θ)  I/Imax  h k l
20.24  100  0 0 2
32.91  94  0 4 2
25.67  80  0 4 0
27.79  78  1 1 0
33.35  67  1 3 0
34.62  65  1 1 2
39.32  53  1 3 2
41.78  49  1 1 3

Crystal structure
Unit cell a=3.3001 b=13.8829 c=8.7730 alpha=90.00 beta=90.00 gamma=90.00
Space group Cmcm (No. 63)
Symmetry-distinct sites (fractional):
Li 0.0000 0.0168 0.2500 x4
Pa 0.0000 0.3732 0.0346 x8
Fe 0.0000 0.2829 0.7500 x4
N 0.0000 0.0000 0.0000 x4
N 0.0000 0.1352 0.7500 x4
N 0.0000 0.2129 0.1057 x8
N 0.0000 0.4107 0.7500 x4


Entry 3:
Theoretical X-ray diffraction stick pattern of Co2NiPt4 for Cu Kα, 1.54184 Å, from a structure optimized by DFT (GGA-PBE).
Lines closer than 0.1° are merged.

Most intense lines, 2θ from 10° to 90°, in order of falling intensity:
Position (°2θ)  I/Imax  h k l
44.02  100  0 4 2
40.66  72  2 2 1
41.16  56  0 0 4
19.05  48  0 2 0
44.58  42  2 2 2
50.58  38  2 2 3
27.94  37  0 2 2
36.44  37  1 1 3

Crystal structure
Unit cell a=5.2705 b=9.3160 c=8.7720 alpha=90.00 beta=90.00 gamma=90.00
Space group Cccm (No. 66)
Symmetry-distinct sites (fractional):
Co 0.1070 0.1049 0.0000 x8
Ni 0.0000 0.5000 0.2500 x4
Pt 0.1092 0.3696 0.5000 x8
Pt 0.2500 0.2500 0.2252 x8


Entry 4:
Theoretical X-ray diffraction stick pattern of Ac2Al3Zn2 for Cu Kα, 1.54184 Å, from a structure optimized by DFT (GGA-PBE).
Lines closer than 0.1° are merged.

Most intense lines, 2θ from 10° to 90°, in order of falling intensity:
Position (°2θ)  I/Imax  h k l
31.66  100  1 5 1
31.20  67  1 1 2
21.52  44  0 4 1
41.26  32  0 4 3
19.16  31  1 1 0
37.80  28  2 0 0
51.80  26  1 9 2
57.18  25  2 4 3

Crystal structure
Unit cell a=4.7602 b=20.0348 c=7.2983 alpha=90.00 beta=90.00 gamma=90.00
Space group Cmcm (No. 63)
Symmetry-distinct sites (fractional):
Ac 0.0000 0.0504 0.2500 x4
Ac 0.0000 0.1640 0.7500 x4
Al 0.0000 0.2213 0.2500 x4
Al 0.0000 0.4405 0.0741 x8
Zn 0.0000 0.3196 0.5696 x8


Please write out number 4 again, unchanged.
Theoretical X-ray diffraction stick pattern of Ac2Al3Zn2 for Cu Kα, 1.54184 Å, from a structure optimized by DFT (GGA-PBE).
Lines closer than 0.1° are merged.

Most intense lines, 2θ from 10° to 90°, in order of falling intensity:
Position (°2θ)  I/Imax  h k l
31.66  100  1 5 1
31.20  67  1 1 2
21.52  44  0 4 1
41.26  32  0 4 3
19.16  31  1 1 0
37.80  28  2 0 0
51.80  26  1 9 2
57.18  25  2 4 3

Crystal structure
Unit cell a=4.7602 b=20.0348 c=7.2983 alpha=90.00 beta=90.00 gamma=90.00
Space group Cmcm (No. 63)
Symmetry-distinct sites (fractional):
Ac 0.0000 0.0504 0.2500 x4
Ac 0.0000 0.1640 0.7500 x4
Al 0.0000 0.2213 0.2500 x4
Al 0.0000 0.4405 0.0741 x8
Zn 0.0000 0.3196 0.5696 x8